1.
Diffraction record for LiFe4P3O12. The PXRD pattern is calculated, not measured: it uses a structure optimized by DFT (PBE+U) and Cu Kα (weighted mean of Kα1 and Kα2).
Lines closer than 0.1° are merged.

Top 6 peaks for 15° ≤ 2θ ≤ 90°, by angle:
2theta	intensity
19.7	100
21.9	19
22.1	38
23.7	17
34.3	15
34.5	28

Cell and atoms:
Unit cell a=9.035 b=9.035 c=10.342 alpha=115.39 beta=115.39 gamma=59.56
Sites, in units of the cell vectors:
Li 0.249 0.751 0.500
Li 0.751 0.249 0.000
Fe 0.107 0.602 0.074
Fe 0.111 0.947 0.041
Fe 0.223 0.452 0.542
Fe 0.452 0.223 0.042
Fe 0.602 0.107 0.574
Fe 0.613 0.725 0.540
Fe 0.725 0.613 0.040
Fe 0.947 0.111 0.541
P 0.115 0.322 0.173
P 0.322 0.115 0.673
P 0.476 0.613 0.172
P 0.613 0.476 0.672
P 0.827 0.975 0.175
P 0.975 0.827 0.675
O 0.045 0.867 0.586
O 0.074 0.631 0.679
O 0.125 0.214 0.673
O 0.138 0.446 0.331
O 0.201 0.359 0.087
O 0.214 0.125 0.173
O 0.267 0.698 0.089
O 0.359 0.201 0.587
O 0.369 0.916 0.585
O 0.414 0.546 0.585
O 0.446 0.138 0.831
O 0.489 0.636 0.332
O 0.546 0.414 0.085
O 0.570 0.713 0.170
O 0.631 0.074 0.179
O 0.636 0.489 0.832
O 0.698 0.267 0.589
O 0.713 0.570 0.670
O 0.768 0.865 0.589
O 0.865 0.768 0.089
O 0.867 0.045 0.086
O 0.916 0.369 0.085
O 0.954 0.981 0.332
O 0.981 0.954 0.832

***

2.
Diffraction record for Sr3LaMn2O8. The PXRD pattern is calculated, not measured: it uses a structure optimized by DFT (PBE+U) and Cu Kα (weighted mean of Kα1 and Kα2).
Lines closer than 0.1° are merged.

Top 6 peaks for 15° ≤ 2θ ≤ 90°, by angle:
2theta	intensity
31.4	100
32.2	76
43.8	45
46.2	42
55.4	21
57.0	45

Cell and atoms:
Unit cell a=5.559 b=6.796 c=6.796 alpha=48.18 beta=90.00 gamma=90.00
Sites, in units of the cell vectors:
Sr 0.000 0.000 0.000
Sr 0.000 0.284 0.284
Sr 0.500 0.787 0.787
La 0.500 0.504 0.504
Mn 0.000 0.645 0.645
Mn 0.500 0.144 0.144
O 0.000 0.483 0.483
O 0.000 0.801 0.801
O 0.257 0.392 0.889
O 0.257 0.889 0.392
O 0.500 0.311 0.311
O 0.500 0.984 0.984
O 0.743 0.392 0.889
O 0.743 0.889 0.392

***

3.
Diffraction record for Li2Cr3FeO8. The PXRD pattern is calculated, not measured: it uses a structure optimized by DFT (PBE+U) and Cu Kα (weighted mean of Kα1 and Kα2).
Lines closer than 0.1° are merged.

Top 6 peaks for 15° ≤ 2θ ≤ 90°, by angle:
2theta	intensity
18.5	76
21.3	39
30.4	33
35.7	100
43.4	43
62.9	29

Cell and atoms:
Unit cell a=5.890 b=5.890 c=5.890 alpha=60.22 beta=60.22 gamma=60.22
Sites, in units of the cell vectors:
Li 0.000 0.000 0.000
Li 0.376 0.376 0.376
Cr 0.003 0.003 0.489
Cr 0.003 0.489 0.003
Cr 0.489 0.003 0.003
Fe 0.620 0.620 0.620
O 0.224 0.752 0.752
O 0.240 0.240 0.240
O 0.252 0.252 0.786
O 0.252 0.786 0.252
O 0.752 0.224 0.752
O 0.752 0.752 0.224
O 0.756 0.756 0.756
O 0.786 0.252 0.252

***

4.
Diffraction record for Ca3WO6. The PXRD pattern is calculated, not measured: it uses a structure optimized by DFT (PBE+U) and Cu Kα (weighted mean of Kα1 and Kα2).
Lines closer than 0.1° are merged.

Top 6 peaks for 15° ≤ 2θ ≤ 90°, by angle:
2theta	intensity
18.6	95
19.3	42
21.9	100
31.1	85
31.3	83
44.7	41

Cell and atoms:
Unit cell a=5.603 b=5.873 c=9.835 alpha=90.00 beta=124.25 gamma=90.00
Sites, in units of the cell vectors:
Ca 0.000 0.000 0.000
Ca 0.000 0.500 0.500
Ca 0.226 0.055 0.742
Ca 0.226 0.445 0.242
Ca 0.774 0.555 0.758
Ca 0.774 0.945 0.258
W 0.500 0.000 0.500
W 0.500 0.500 0.000
O 0.165 0.176 0.450
O 0.165 0.324 0.950
O 0.256 0.725 0.425
O 0.256 0.775 0.925
O 0.392 0.058 0.275
O 0.392 0.442 0.775
O 0.608 0.558 0.225
O 0.608 0.942 0.725
O 0.744 0.225 0.075
O 0.744 0.275 0.575
O 0.835 0.676 0.050
O 0.835 0.824 0.550

***

5.
Diffraction record for Na5ErMo4O16. The PXRD pattern is calculated, not measured: it uses a structure optimized by DFT (PBE+U) and Cu Kα (weighted mean of Kα1 and Kα2).
Lines closer than 0.1° are merged.

Top 6 peaks for 15° ≤ 2θ ≤ 90°, by angle:
2theta	intensity
18.8	25
24.4	26
29.0	100
47.3	23
53.9	15
58.8	19

Cell and atoms:
Unit cell a=9.992 b=9.992 c=9.992 alpha=109.47 beta=109.47 gamma=109.47
Sites, in units of the cell vectors:
Na 0.111 0.036 0.834
Na 0.224 0.389 0.426
Na 0.298 0.724 0.334
Na 0.375 0.125 0.250
Na 0.464 0.798 0.074
Na 0.536 0.202 0.926
Na 0.625 0.875 0.750
Na 0.702 0.276 0.666
Na 0.776 0.611 0.574
Na 0.889 0.964 0.166
Er 0.125 0.375 0.750
Er 0.875 0.625 0.250
Mo 0.044 0.705 0.976
Mo 0.205 0.729 0.661
Mo 0.229 0.068 0.524
Mo 0.432 0.456 0.161
Mo 0.568 0.544 0.839
Mo 0.771 0.932 0.476
Mo 0.795 0.271 0.339
Mo 0.956 0.295 0.024
O 0.009 0.354 0.490
O 0.012 0.802 0.857
O 0.019 0.509 0.155
O 0.073 0.274 0.921
O 0.146 0.136 0.655
O 0.147 0.848 0.421
O 0.195 0.123 0.367
O 0.226 0.647 0.799
O 0.256 0.828 0.133
O 0.302 0.945 0.789
O 0.328 0.695 0.572
O 0.345 0.488 0.289
O 0.348 0.427 0.701
O 0.364 0.519 0.010
O 0.377 0.244 0.072
O 0.445 0.155 0.643
O 0.555 0.845 0.357
O 0.623 0.756 0.928
O 0.636 0.481 0.990
O 0.652 0.573 0.299
O 0.655 0.512 0.711
O 0.672 0.305 0.428
O 0.698 0.055 0.211
O 0.744 0.172 0.867
O 0.774 0.353 0.201
O 0.805 0.877 0.633
O 0.853 0.152 0.579
O 0.854 0.864 0.345
O 0.927 0.726 0.079
O 0.981 0.491 0.845
O 0.988 0.198 0.143
O 0.991 0.646 0.510

***

6.
Diffraction record for Li4V3SiO10. The PXRD pattern is calculated, not measured: it uses a structure optimized by DFT (PBE+U) and Cu Kα (weighted mean of Kα1 and Kα2).
Lines closer than 0.1° are merged.

Top 6 peaks for 15° ≤ 2θ ≤ 90°, by angle:
2theta	intensity
22.5	66
23.4	100
23.5	31
26.9	23
29.5	15
35.0	40

Cell and atoms:
Unit cell a=5.130 b=6.049 c=8.305 alpha=90.41 beta=107.95 gamma=90.12
Sites, in units of the cell vectors:
Li 0.000 0.000 0.000
Li 0.107 0.696 0.225
Li 0.497 0.686 0.988
Li 0.613 0.005 0.214
V 0.399 0.170 0.801
V 0.684 0.503 0.385
V 0.910 0.505 0.820
Si 0.185 0.188 0.378
O 0.010 0.008 0.243
O 0.025 0.433 0.356
O 0.244 0.108 0.575
O 0.276 0.450 0.846
O 0.368 0.996 0.960
O 0.485 0.233 0.344
O 0.504 0.684 0.230
O 0.739 0.588 0.602
O 0.774 0.227 0.850
O 0.876 0.680 0.979

***

7.
Diffraction record for CdFeO3. The PXRD pattern is calculated, not measured: it uses a structure optimized by DFT (PBE+U) and Cu Kα (weighted mean of Kα1 and Kα2).
Lines closer than 0.1° are merged.

Top 6 peaks for 15° ≤ 2θ ≤ 90°, by angle:
2theta	intensity
32.5	43
32.9	100
33.0	99
33.3	47
47.2	46
47.4	28

Cell and atoms:
Unit cell a=5.379 b=5.506 c=9.348 alpha=90.00 beta=124.87 gamma=90.00
Sites, in units of the cell vectors:
Cd 0.239 0.048 0.251
Cd 0.239 0.452 0.751
Cd 0.761 0.548 0.249
Cd 0.761 0.952 0.749
Fe 0.000 0.000 0.500
Fe 0.000 0.500 0.000
Fe 0.500 0.000 0.000
Fe 0.500 0.500 0.500
O 0.136 0.209 0.943
O 0.136 0.291 0.443
O 0.242 0.702 0.947
O 0.242 0.798 0.447
O 0.347 0.040 0.745
O 0.347 0.460 0.245
O 0.653 0.540 0.755
O 0.653 0.960 0.255
O 0.758 0.202 0.553
O 0.758 0.298 0.053
O 0.864 0.709 0.557
O 0.864 0.791 0.057

***

8.
Diffraction record for KSrNdWO6. The PXRD pattern is calculated, not measured: it uses a structure optimized by DFT (PBE+U) and Cu Kα (weighted mean of Kα1 and Kα2).
Lines closer than 0.1° are merged.

Top 6 peaks for 15° ≤ 2θ ≤ 90°, by angle:
2theta	intensity
20.8	36
29.5	100
42.2	31
52.4	40
61.2	19
84.7	22

Cell and atoms:
Unit cell a=6.053 b=6.053 c=6.053 alpha=60.00 beta=60.00 gamma=60.00
Sites, in units of the cell vectors:
K 0.000 0.000 0.000
Sr 0.500 0.500 0.500
Nd 0.250 0.250 0.250
W 0.750 0.750 0.750
O 0.522 0.522 0.978
O 0.522 0.978 0.522
O 0.522 0.978 0.978
O 0.978 0.522 0.522
O 0.978 0.522 0.978
O 0.978 0.978 0.522

***

Repeat the first record exactly.
Diffraction record for LiFe4P3O12. The PXRD pattern is calculated, not measured: it uses a structure optimized by DFT (PBE+U) and Cu Kα (weighted mean of Kα1 and Kα2).
Lines closer than 0.1° are merged.

Top 6 peaks for 15° ≤ 2θ ≤ 90°, by angle:
2theta	intensity
19.7	100
21.9	19
22.1	38
23.7	17
34.3	15
34.5	28

Cell and atoms:
Unit cell a=9.035 b=9.035 c=10.342 alpha=115.39 beta=115.39 gamma=59.56
Sites, in units of the cell vectors:
Li 0.249 0.751 0.500
Li 0.751 0.249 0.000
Fe 0.107 0.602 0.074
Fe 0.111 0.947 0.041
Fe 0.223 0.452 0.542
Fe 0.452 0.223 0.042
Fe 0.602 0.107 0.574
Fe 0.613 0.725 0.540
Fe 0.725 0.613 0.040
Fe 0.947 0.111 0.541
P 0.115 0.322 0.173
P 0.322 0.115 0.673
P 0.476 0.613 0.172
P 0.613 0.476 0.672
P 0.827 0.975 0.175
P 0.975 0.827 0.675
O 0.045 0.867 0.586
O 0.074 0.631 0.679
O 0.125 0.214 0.673
O 0.138 0.446 0.331
O 0.201 0.359 0.087
O 0.214 0.125 0.173
O 0.267 0.698 0.089
O 0.359 0.201 0.587
O 0.369 0.916 0.585
O 0.414 0.546 0.585
O 0.446 0.138 0.831
O 0.489 0.636 0.332
O 0.546 0.414 0.085
O 0.570 0.713 0.170
O 0.631 0.074 0.179
O 0.636 0.489 0.832
O 0.698 0.267 0.589
O 0.713 0.570 0.670
O 0.768 0.865 0.589
O 0.865 0.768 0.089
O 0.867 0.045 0.086
O 0.916 0.369 0.085
O 0.954 0.981 0.332
O 0.981 0.954 0.832